Diffraction record for Na4Al3Si3SO16. The XRD peak list is calculated, not measured: it uses a DFT-relaxed cell (GGA-PBE, the Materials Project) and CuKα.
Peak positions follow from Bragg's law for the DFT cell and can differ from measured ones.

Main lines, in order of rising 2θ (10° ≤ 2θ ≤ 80°):
hkl  Position (°2θ)  d/Å  intensity
2 1 1  23.65  3.762  100
2 2 2  33.69  2.660  30
3 2 1  36.48  2.463  8
4 0 0  39.10  2.304  8
3 3 0  41.58  2.172  21
5 1 0  50.50  1.807  7
4 4 0  56.49  1.629  12
5 3 2  62.09  1.495  7
6 2 2  67.42  1.389  9
6 3 3  75.87  1.254  10

Structure:
Cell lengths 9.215, 9.215, 9.215 Å; angles 90.00, 90.00, 90.00 degrees
Space group P-43n (No. 218)
One atom of each set of equivalent atoms:
Na1 0.227 0.227 0.773
Al1 0.000 0.250 0.500
Si1 0.000 0.500 0.250
S1 0.000 0.000 0.000
O1 0.034 0.355 0.346
O2 0.093 0.093 0.093